1.
Ba2NaIn3Hg12: simulated powder diffraction line list (Cu Kα X-rays), based on the PBE geometry in Alexandria.
Lines closer than 0.1° are merged.

Main lines, by intensity (10° ≤ 2θ ≤ 80°):
2θ (°)	intensity
32.53	100
34.87	84
59.56	31
48.43	31
16.10	22
58.04	17
63.97	15
78.88	12
68.13	10
73.63	9

Structure:
```
Ba2NaIn3Hg12
1.0
5.505 3.178 5.094
-5.505 3.178 5.094
0.000 -6.357 5.094
Ba Na In Hg
2 1 3 12
direct
0.200 0.200 0.200
0.800 0.800 0.800
0.500 0.500 0.500
0.000 0.500 0.500
0.500 0.000 0.500
0.500 0.500 0.000
0.092 0.092 0.626
0.092 0.626 0.092
0.218 0.695 0.695
0.305 0.305 0.782
0.305 0.782 0.305
0.374 0.908 0.908
0.626 0.092 0.092
0.695 0.218 0.695
0.695 0.695 0.218
0.782 0.305 0.305
0.908 0.374 0.908
0.908 0.908 0.374
```


2.
Ba3CdHg10: simulated powder diffraction line list (Cu Kα X-rays), based on the PBE geometry in Alexandria.
Lines closer than 0.1° are merged.

Main lines, by intensity (10° ≤ 2θ ≤ 80°):
2θ (°)	intensity
29.93	100
33.19	66
33.53	43
39.40	42
31.37	34
35.16	31
29.30	24
49.13	24
39.92	23
57.32	23

Structure:
```
Ba3CdHg10
1.0
-2.699 5.039 7.657
2.699 -5.039 7.657
2.699 5.039 -7.657
Ba Cd Hg
3 1 10
direct
0.000 0.000 0.000
0.292 0.292 0.000
0.708 0.708 0.000
0.500 0.000 0.500
0.014 0.659 0.354
0.152 0.860 0.292
0.305 0.659 0.646
0.328 0.500 0.828
0.432 0.140 0.292
0.568 0.860 0.708
0.672 0.500 0.172
0.695 0.341 0.354
0.848 0.140 0.708
0.986 0.341 0.646
```


3.
Li2ZnSiS4: simulated powder diffraction line list (Cu Kα X-rays), based on the PBE geometry in Alexandria.
Lines closer than 0.1° are merged.

Main lines, by intensity (10° ≤ 2θ ≤ 80°):
2θ (°)	intensity
27.42	100
19.23	100
28.60	75
12.92	70
46.76	59
52.18	51
31.01	49
55.72	36
40.04	33
38.63	33

Structure:
```
Li2ZnSiS4
1.0
7.390 0.000 0.000
0.000 6.852 0.000
0.000 0.000 6.243
Li Zn Si S
4 2 2 8
direct
0.246 0.169 0.000
0.254 0.831 0.500
0.746 0.831 0.500
0.754 0.169 0.000
0.000 0.356 0.498
0.500 0.644 0.998
0.000 0.665 0.000
0.500 0.335 0.500
0.000 0.374 0.878
0.000 0.666 0.343
0.235 0.823 0.891
0.265 0.177 0.391
0.500 0.334 0.843
0.500 0.626 0.378
0.735 0.177 0.391
0.765 0.823 0.891
```